# 1
Pr12Tm5Mg2: theoretical powder X-ray diffraction pattern (copper Kα), based on a PBE-relaxed structure.

Principal peaks in the range 10 to 90 degrees two-theta, sorted by position:
- d 3.164, intensity 35.2, (0 2 2)
- d 3.091, intensity 14.9, (3 1 2)
- d 3.013, intensity 29.3, (4 2 0)
- d 2.970, intensity 30.3, (2 2 -2)
- d 2.875, intensity 33.7, (1 3 -1)
- d 2.865, intensity 100.0, (4 0 2)
- d 2.859, intensity 19.0, (1 3 1)
- d 2.730, intensity 45.5, (1 1 -3)
- d 2.537, intensity 20.1, (3 3 1)
- d 1.582, intensity 18.1, (5 5 -1)

Structure:
Cell lengths 15.8553, 9.2873, 8.6539 Å; angles 90.00, 92.40, 90.00 degrees
Space group C2/m (No. 12)
Unique sites:
Pr (0.0616, 0.0000, 0.3393) x4
Pr (0.0811, 0.5000, 0.8808) x4
Pr (0.1268, 0.1945, 0.6785) x8
Pr (0.1502, 0.3149, 0.2340) x8
Tm (0.0000, 0.5000, 0.5000) x2
Tm (0.2012, 0.0000, 0.0259) x4
Tm (0.2307, 0.5000, 0.5731) x4
Mg (0.0000, 0.1634, 0.0000) x4

---

# 2
Pr3TmMg4: theoretical powder X-ray diffraction pattern (copper Kα), based on a PBE-relaxed structure.

Principal peaks in the range 10 to 90 degrees two-theta, sorted by position:
- d 3.901, intensity 30.5, (1 0 0)
- d 3.857, intensity 59.3, (0 1 2)
- d 2.743, intensity 100.0, (1 1 2)
- d 2.727, intensity 49.2, (0 2 0)
- d 2.235, intensity 27.9, (1 2 0)
- d 1.929, intensity 17.8, (0 2 4)
- d 1.728, intensity 19.1, (1 2 4)
- d 1.587, intensity 19.0, (2 2 0)
- d 1.579, intensity 18.6, (1 1 6)
- d 1.576, intensity 18.6, (1 3 2)

Structure:
Cell lengths 3.9010, 5.4476, 10.9240 Å; angles 90.00, 90.00, 90.00 degrees
Space group Pmmm (No. 47)
Unique sites:
Pr (0.0000, 0.0000, 0.0000) x1
Pr (0.0000, 0.5000, 0.2527) x2
Tm (0.0000, 0.0000, 0.5000) x1
Mg (0.5000, 0.0000, 0.2577) x2
Mg (0.5000, 0.5000, 0.0000) x1
Mg (0.5000, 0.5000, 0.5000) x1

---

# 3
Pr2Tm6Mg: theoretical powder X-ray diffraction pattern (copper Kα), based on a PBE-relaxed structure.

Principal peaks in the range 10 to 90 degrees two-theta, sorted by position:
- d 7.439, intensity 6.9, (1 1 0)
- d 2.871, intensity 100.0, (3 0 1)
- d 2.499, intensity 17.1, (0 0 2)
- d 2.480, intensity 33.4, (3 3 0)
- d 1.760, intensity 24.0, (3 3 2)
- d 1.753, intensity 11.8, (6 0 0)
- d 1.505, intensity 14.4, (3 0 3)
- d 1.496, intensity 28.0, (6 3 1)
- d 1.435, intensity 12.2, (6 0 2)
- d 1.142, intensity 11.9, (6 3 3)

Structure:
Cell lengths 10.5199, 10.5199, 4.9978 Å; angles 90.00, 90.00, 90.00 degrees
Space group P4_2/mnm (No. 136)
Unique sites:
Pr (0.1644, 0.1644, 0.0000) x4
Tm (0.0012, 0.6650, 0.5000) x8
Tm (0.1689, 0.8311, 0.0000) x4
Mg (0.0000, 0.0000, 0.5000) x2

---

# 4
PrTm4Mg: theoretical powder X-ray diffraction pattern (copper Kα), based on a PBE-relaxed structure.

Principal peaks in the range 10 to 90 degrees two-theta, sorted by position:
- d 3.186, intensity 10.1, (1 0 2)
- d 2.846, intensity 100.0, (1 0 3)
- d 2.523, intensity 38.2, (1 1 0)
- d 2.360, intensity 12.3, (0 0 6)
- d 1.784, intensity 13.6, (2 0 0)
- d 1.724, intensity 19.0, (1 1 6)
- d 1.586, intensity 8.7, (1 0 8)
- d 1.511, intensity 33.0, (2 1 3)
- d 1.423, intensity 10.1, (2 0 6)
- d 1.153, intensity 7.6, (3 0 3)

Structure:
Cell lengths 3.5677, 3.5677, 14.1615 Å; angles 90.00, 90.00, 90.00 degrees
Space group P4/mmm (No. 123)
Unique sites:
Pr (0.0000, 0.0000, 0.0000) x1
Tm (0.0000, 0.0000, 0.3491) x2
Tm (0.5000, 0.5000, 0.1799) x2
Mg (0.5000, 0.5000, 0.5000) x1

---

# 5
Pr3Tm12Mg: theoretical powder X-ray diffraction pattern (copper Kα), based on a PBE-relaxed structure.

Principal peaks in the range 10 to 90 degrees two-theta, sorted by position:
- d 2.873, intensity 100.0, (1 1 4)
- d 2.488, intensity 50.5, (2 0 0)
- d 1.759, intensity 35.5, (2 2 0)
- d 1.501, intensity 28.5, (3 1 4)
- d 1.499, intensity 13.3, (1 1 12)
- d 1.437, intensity 12.0, (2 2 8)
- d 1.142, intensity 6.0, (3 3 4)
- d 1.141, intensity 11.4, (3 1 12)
- d 1.113, intensity 11.1, (4 2 0)
- d 1.112, intensity 5.0, (2 0 16)

Structure:
Cell lengths 4.9803, 4.9803, 19.8747 Å; angles 90.00, 90.00, 90.00 degrees
Space group P4/mmm (No. 123)
Unique sites:
Pr (0.0000, 0.0000, 0.0000) x1
Pr (0.0000, 0.0000, 0.2523) x2
Tm (0.0000, 0.5000, 0.1270) x4
Tm (0.0000, 0.5000, 0.3792) x4
Tm (0.5000, 0.5000, 0.0000) x1
Tm (0.5000, 0.5000, 0.2562) x2
Tm (0.5000, 0.5000, 0.5000) x1
Mg (0.0000, 0.0000, 0.5000) x1

---

# 6
PrTm2Mg: theoretical powder X-ray diffraction pattern (copper Kα), based on a PBE-relaxed structure.

Principal peaks in the range 10 to 90 degrees two-theta, sorted by position:
- d 3.653, intensity 11.5, (1 0 0)
- d 3.384, intensity 21.5, (1 0 1)
- d 2.995, intensity 10.6, (0 0 3)
- d 2.834, intensity 100.0, (1 0 2)
- d 2.583, intensity 42.4, (1 1 0)
- d 1.956, intensity 12.6, (1 1 3)
- d 1.827, intensity 15.2, (2 0 0)
- d 1.695, intensity 16.5, (1 1 4)
- d 1.613, intensity 11.8, (1 0 5)
- d 1.535, intensity 31.6, (2 1 2)

Structure:
Cell lengths 3.6531, 3.6531, 8.9863 Å; angles 90.00, 90.00, 90.00 degrees
Space group P4/mmm (No. 123)
Unique sites:
Pr (0.0000, 0.0000, 0.0000) x1
Tm (0.5000, 0.5000, 0.2790) x2
Mg (0.0000, 0.0000, 0.5000) x1